Structure and theoretical powder XRD pattern of CrSnS2O8 (a GGA+U-relaxed structure; CuKα).
No peak broadening, texture or thermal motion is included.

Most intense lines, 15° ≤ 2θ ≤ 90°, low angle first:
2θ 19.75, I = 69
2θ 20.65, I = 70
2θ 22.88, I = 100
2θ 24.27, I = 46
2θ 30.80, I = 80
2θ 31.43, I = 99
2θ 34.01, I = 43
2θ 35.65, I = 81
2θ 41.96, I = 49
2θ 47.63, I = 25

Atomic structure:
```
CrSnS2O8
1.0
4.304 -2.636 0.000
4.304 2.636 0.000
-0.289 0.000 7.478
Cr Sn S O
1 1 2 8
direct
0.000 0.000 0.000
0.000 0.000 0.500
0.364 0.364 0.773
0.636 0.636 0.227
0.236 0.701 0.787
0.255 0.255 0.916
0.291 0.291 0.589
0.299 0.764 0.213
0.701 0.236 0.787
0.709 0.709 0.411
0.745 0.745 0.084
0.764 0.299 0.213
```